No. 1
For Ho2HPb, a DFT-relaxed cell (GGA-PBE, Alexandria) gives the theoretical powder diffractogram in this record (a wavelength of 1.5418 Å).
No peak broadening, texture or thermal motion is included.

Most intense lines, 2θ from 15° to 90°, in order of rising 2θ:
27.9 deg, rel. 23; 29.8 deg, rel. 82; 31.5 deg, rel. 40; 35.1 deg, rel. 100; 39.8 deg, rel. 61; 51.7 deg, rel. 41; 57.6 deg, rel. 21; 69.3 deg, rel. 28

Structure:
```
8
Lattice="4.5257 0.0000 0.0000 0.0000 4.5257 0.0000 0.0000 0.0000 8.5180" Properties=species:S:1:pos:R:3 pbc="T T T"
Ho 1.1314 1.1314 1.3148
Ho 1.1314 3.3943 4.2590
Ho 3.3943 1.1314 4.2590
Ho 3.3943 3.3943 7.2032
H 1.1314 1.1314 3.5802
H 3.3943 3.3943 4.9377
Pb 1.1314 1.1314 6.6862
Pb 3.3943 3.3943 1.8318
```

No. 2
For Ho3HPbSe, a DFT-relaxed cell (GGA-PBE, Alexandria) gives the theoretical powder diffractogram in this record (a wavelength of 1.5418 Å).
No peak broadening, texture or thermal motion is included.

Most intense lines, 2θ from 15° to 90°, in order of rising 2θ:
26.9 deg, rel. 34; 30.8 deg, rel. 62; 31.4 deg, rel. 100; 31.8 deg, rel. 36; 33.2 deg, rel. 54; 35.6 deg, rel. 31; 39.5 deg, rel. 45; 43.3 deg, rel. 40

Structure:
```
12
Lattice="8.1883 0.0000 0.0000 0.0000 4.1767 0.0000 -1.2973 0.0000 8.4299" Properties=species:S:1:pos:R:3 pbc="T T T"
Ho 0.2683 1.0442 2.6870
Ho 1.4487 1.0442 8.1497
Ho 2.3530 3.1325 5.2981
Ho 4.5380 1.0442 3.1318
Ho 5.4423 3.1325 0.2802
Ho 6.6227 3.1325 5.7429
H 2.1804 3.1325 7.5810
H 4.7107 1.0442 0.8489
Pb 2.4702 3.1325 2.1009
Pb 4.4208 1.0442 6.3290
Se 0.3767 1.0442 5.5149
Se 6.5144 3.1325 2.9150
```

No. 3
For HoH7Pd5, a DFT-relaxed cell (GGA-PBE, Alexandria) gives the theoretical powder diffractogram in this record (a wavelength of 1.5418 Å).
No peak broadening, texture or thermal motion is included.

Most intense lines, 2θ from 15° to 90°, in order of rising 2θ:
34.9 deg, rel. 38; 35.0 deg, rel. 71; 37.4 deg, rel. 49; 37.9 deg, rel. 100; 38.0 deg, rel. 53; 38.9 deg, rel. 30; 39.5 deg, rel. 23; 64.9 deg, rel. 22

Structure:
```
13
Lattice="5.1229 0.0000 0.0000 0.1006 5.1471 0.0000 0.0203 2.5247 4.7331" Properties=species:S:1:pos:R:3 pbc="T T T"
Ho 0.0000 0.0000 0.0000
H 0.8555 2.9225 0.0495
H 0.9131 3.5670 2.8265
H 1.0232 6.1136 1.9181
H 2.4886 7.5881 4.6880
H 3.6055 3.7846 1.4768
H 3.6983 4.4028 3.9688
H 3.9334 1.5921 2.7517
Pd 2.6808 3.2230 0.0201
Pd 2.6794 3.1702 3.0648
Pd 2.7537 5.7452 1.6245
Pd 5.0967 2.5207 1.6050
Pd 5.1504 5.1373 3.1377
```

No. 4
For HoH6Pd7, a DFT-relaxed cell (GGA-PBE, Alexandria) gives the theoretical powder diffractogram in this record (a wavelength of 1.5418 Å).
No peak broadening, texture or thermal motion is included.

Most intense lines, 2θ from 15° to 90°, in order of rising 2θ:
20.6 deg, rel. 9; 21.8 deg, rel. 7; 26.2 deg, rel. 5; 37.6 deg, rel. 100; 43.7 deg, rel. 50; 63.5 deg, rel. 32; 76.2 deg, rel. 37; 80.2 deg, rel. 8

Structure:
```
14
Lattice="2.5377 1.4651 7.1866 -2.5377 1.4651 7.1866 0.0000 -2.9303 7.1866" Properties=species:S:1:pos:R:3 pbc="T T T"
Ho 0.0000 0.0000 0.0000
H -1.6344 -0.0274 8.8719
H -0.8118 -1.4734 12.6662
H 0.8410 -1.4017 8.8718
H -0.8701 1.4398 12.6662
H 0.7934 1.4292 8.8718
H 1.6819 0.0337 12.6662
Pd -0.8519 -1.4722 9.5733
Pd -1.6923 0.0044 11.9741
Pd -0.8490 1.4738 9.5733
Pd 0.8424 -1.4677 11.9741
Pd 0.0000 0.0000 14.3680
Pd 1.7009 -0.0017 9.5733
Pd 0.8499 1.4634 11.9741
```